[1]
For Tb7Sm12Zr, a crystal structure in Alexandria, relaxed with PBE gives the simulated X-ray diffraction stick pattern in this record (Cu Kα (weighted mean of Kα1 and Kα2)).
Intensities are scaled so that the largest is 1000.

Top 6 peaks for 10 to 90 degrees two-theta, sorted by position:
hkl 4 0 1, 26.9 deg, I = 482; hkl 3 1 2, 31.2 deg, I = 784; hkl 3 3 0, 32.1 deg, I = 1000; hkl 0 4 2, 33.0 deg, I = 259; hkl 3 3 3, 46.6 deg, I = 278; hkl 0 7 2, 49.3 deg, I = 271

Structure:
a b c (Å): 16.7339 16.7339 8.1738
angles (deg): 90.00 90.00 120.00
Space group R-3m (No. 166, hexagonal axes)
One atom of each set of equivalent atoms:
Tb  0.0000  0.0000  0.0000
Tb  0.1076  0.5538  0.0011
Sm  0.0000  0.2838  0.0000
Sm  0.1004  0.2008  0.7487
Zr  0.0000  0.0000  0.5000


[2]
For Ag7Pd2Pt2, a crystal structure in Alexandria, relaxed with PBE gives the simulated X-ray diffraction stick pattern in this record (Cu Kα (weighted mean of Kα1 and Kα2)).
Intensities are scaled so that the largest is 1000.

Top 6 peaks for 10 to 90 degrees two-theta, sorted by position:
hkl 1 1 0, 21.4 deg, I = 107; hkl 2 0 0, 38.8 deg, I = 547; hkl 1 3 2, 40.2 deg, I = 1000; hkl 2 0 4, 56.1 deg, I = 179; hkl 3 3 2, 71.2 deg, I = 340; hkl 2 6 0, 73.9 deg, I = 153

Structure:
a b c (Å): 4.6379 9.2353 9.2710
angles (deg): 90.00 90.00 90.00
Space group Immm (No. 71)
One atom of each set of equivalent atoms:
Ag  0.0000  0.0000  0.0000
Ag  0.0000  0.1635  0.2619
Ag  0.0000  0.3424  0.0000
Pd  0.0000  0.3397  0.5000
Pt  0.0000  0.5000  0.2559


[3]
For LiHo2F7, a crystal structure in Alexandria, relaxed with PBE gives the simulated X-ray diffraction stick pattern in this record (Cu Kα (weighted mean of Kα1 and Kα2)).
Intensities are scaled so that the largest is 1000.

Top 6 peaks for 10 to 90 degrees two-theta, sorted by position:
hkl 0 0 6, 17.4 deg, I = 1000; hkl 1 0 1, 26.4 deg, I = 992; hkl 0 1 2, 26.9 deg, I = 469; hkl 1 1 0, 46.3 deg, I = 544; hkl 0 1 14, 49.5 deg, I = 414; hkl 1 1 6, 49.8 deg, I = 388

Structure:
a b c (Å): 3.9248 3.9248 30.6627
angles (deg): 90.00 90.00 120.00
Space group R-3m (No. 166, hexagonal axes)
One atom of each set of equivalent atoms:
Li  0.0000  0.0000  0.0000
Ho  0.0000  0.0000  0.4283
F  0.0000  0.0000  0.0765
F  0.0000  0.0000  0.2228
F  0.0000  0.0000  0.3593
F  0.0000  0.0000  0.5000


[4]
For Pm2SiBPt6, a crystal structure in Alexandria, relaxed with PBE gives the simulated X-ray diffraction stick pattern in this record (Cu Kα (weighted mean of Kα1 and Kα2)).
Intensities are scaled so that the largest is 1000.

Top 6 peaks for 10 to 90 degrees two-theta, sorted by position:
hkl 0 2 2, 32.2 deg, I = 764; hkl 1 2 2, 35.9 deg, I = 264; hkl 2 2 0, 37.6 deg, I = 1000; hkl 2 0 2, 40.1 deg, I = 493; hkl 0 4 0, 41.8 deg, I = 380; hkl 2 4 2, 59.3 deg, I = 273

Structure:
a b c (Å): 5.7398 8.6486 7.2600
angles (deg): 90.00 90.00 90.00
Space group Pmmn (No. 59, origin choice 2)
One atom of each set of equivalent atoms:
Pm  0.2500  0.0315  0.2200
Si  0.2500  0.7500  0.8036
B  0.2500  0.2500  0.7092
Pt  0.0001  0.2500  0.9277
Pt  0.0101  0.7500  0.4986
Pt  0.2500  0.0019  0.6548


[5]
For SrLiTeHOsBr, a crystal structure in Alexandria, relaxed with PBE gives the simulated X-ray diffraction stick pattern in this record (Cu Kα (weighted mean of Kα1 and Kα2)).
Intensities are scaled so that the largest is 1000.

Top 6 peaks for 10 to 90 degrees two-theta, sorted by position:
hkl 0 0 1, 10.9 deg, I = 1000; hkl 0 0 2, 21.9 deg, I = 355; hkl 1 1 1, 27.3 deg, I = 939; hkl 2 0 -3, 34.7 deg, I = 269; hkl 3 1 -1, 40.4 deg, I = 401; hkl 0 2 0, 40.6 deg, I = 198

Structure:
a b c (Å): 7.7403 4.4461 8.5309
angles (deg): 90.00 107.64 90.00
Space group Cm (No. 8)
One atom of each set of equivalent atoms:
Sr  0.0000  0.0000  0.0000
Li  0.3454  0.5000  0.5395
Te  0.0624  0.5000  0.6908
H  0.3141  0.0000  0.9442
Os  0.2467  0.0000  0.7410
Br  0.2421  0.5000  0.2243


[6]
For PmBiH6Ir2, a crystal structure in Alexandria, relaxed with PBE gives the simulated X-ray diffraction stick pattern in this record (Cu Kα (weighted mean of Kα1 and Kα2)).
Intensities are scaled so that the largest is 1000.

Top 6 peaks for 10 to 90 degrees two-theta, sorted by position:
hkl 0 2 0, 14.5 deg, I = 193; hkl 2 2 1, 32.6 deg, I = 1000; hkl 0 0 2, 38.7 deg, I = 202; hkl 2 4 1, 41.7 deg, I = 174; hkl 4 0 0, 44.2 deg, I = 141; hkl 2 2 3, 66.2 deg, I = 133

Structure:
a b c (Å): 8.1993 12.1829 4.6567
angles (deg): 90.00 90.00 90.00
Space group Cmcm (No. 63)
One atom of each set of equivalent atoms:
Pm  0.0000  0.1610  0.2500
Bi  0.0000  0.4067  0.7500
H  0.1307  0.0000  0.0000
H  0.2449  0.3178  0.0267
Ir  0.2438  0.0799  0.7500


[7]
For Sr2ZnGe2O7, a crystal structure in Alexandria, relaxed with PBE gives the simulated X-ray diffraction stick pattern in this record (Cu Kα (weighted mean of Kα1 and Kα2)).
Intensities are scaled so that the largest is 1000.

Top 6 peaks for 10 to 90 degrees two-theta, sorted by position:
hkl 2 0 1, 27.2 deg, I = 182; hkl 2 1 1, 29.3 deg, I = 1000; hkl 0 0 2, 33.2 deg, I = 112; hkl 3 1 0, 34.4 deg, I = 268; hkl 3 1 2, 48.5 deg, I = 375; hkl 5 2 1, 63.0 deg, I = 142

Structure:
a b c (Å): 8.2550 8.2550 5.3996
angles (deg): 90.00 90.00 90.00
Space group P-42_1m (No. 113)
One atom of each set of equivalent atoms:
Sr  0.1656  0.3344  0.4927
Zn  0.0000  0.0000  0.0000
Ge  0.1428  0.6428  0.9530
O  0.0000  0.5000  0.8170
O  0.0828  0.8210  0.7924
O  0.1384  0.6384  0.2750


[8]
For Sm2Be3NiGe4, a crystal structure in Alexandria, relaxed with PBE gives the simulated X-ray diffraction stick pattern in this record (Cu Kα (weighted mean of Kα1 and Kα2)).
Intensities are scaled so that the largest is 1000.

Top 6 peaks for 10 to 90 degrees two-theta, sorted by position:
hkl 1 0 1, 23.7 deg, I = 364; hkl 1 0 3, 35.3 deg, I = 612; hkl 1 1 2, 36.3 deg, I = 1000; hkl 2 0 0, 44.7 deg, I = 453; hkl 1 0 5, 51.8 deg, I = 238; hkl 2 1 3, 58.2 deg, I = 286

Structure:
a b c (Å): 4.0545 4.0545 9.8118
angles (deg): 90.00 90.00 90.00
Space group P-4m2 (No. 115)
One atom of each set of equivalent atoms:
Sm  0.0000  0.5000  0.2441
Be  0.0000  0.0000  0.0000
Be  0.0000  0.5000  0.6341
Ni  0.5000  0.5000  0.0000
Ge  0.0000  0.0000  0.5000
Ge  0.0000  0.5000  0.8686
Ge  0.5000  0.5000  0.5000